[1]
Computed powder diffractogram of MgV2Cr2O8 for Cu Kα (weighted mean of Kα1 and Kα2), from a DFT-relaxed cell (GGA+U, the Materials Project).

Crystal structure
```
MgV2Cr2O8
1.0
6.2225 0.0000 0.0000
0.0000 2.8327 4.3859
0.0000 -2.8327 4.3859
Mg V Cr O
1 2 2 8
direct
0.0000 0.0000 0.0000 Mg
0.0000 0.6748 0.6748 V
0.5000 0.9836 0.9836 V
0.2534 0.3427 0.3427 Cr
0.7466 0.3427 0.3427 Cr
0.0000 0.0844 0.5826 O
0.0000 0.5826 0.0844 O
0.2314 0.5682 0.5682 O
0.2700 0.1129 0.1129 O
0.5000 0.1291 0.5989 O
0.5000 0.5989 0.1291 O
0.7300 0.1129 0.1129 O
0.7686 0.5682 0.5682 O
```

Principal peaks in the range 5 to 70 degrees two-theta, low angle first:
18.64 deg, rel. 13
20.25 deg, rel. 10
23.53 deg, rel. 25
24.84 deg, rel. 16
31.58 deg, rel. 32
34.47 deg, rel. 100
48.14 deg, rel. 16
50.95 deg, rel. 10
58.12 deg, rel. 20
59.41 deg, rel. 9
61.19 deg, rel. 25
63.00 deg, rel. 7


[2]
Computed powder diffractogram of MgV2Cr2O8 for Cu Kα (weighted mean of Kα1 and Kα2), from a DFT-relaxed cell (GGA+U, the Materials Project).

Crystal structure
```
MgV2Cr2O8
1.0
5.0894 -2.9891 0.0000
5.0894 2.9891 0.0000
-3.1764 0.0000 4.8444
Mg V Cr O
1 2 2 8
direct
0.0000 0.0000 0.0000 Mg
0.3815 0.3815 0.1246 V
0.6185 0.6185 0.8754 V
0.0000 0.5000 0.5000 Cr
0.5000 0.0000 0.5000 Cr
0.2449 0.2449 0.2572 O
0.2499 0.7229 0.7472 O
0.2552 0.2552 0.7443 O
0.2771 0.7501 0.2528 O
0.7229 0.2499 0.7472 O
0.7448 0.7448 0.2557 O
0.7501 0.2771 0.2528 O
0.7551 0.7551 0.7428 O
```

Principal peaks in the range 5 to 70 degrees two-theta, low angle first:
18.13 deg, rel. 41
18.75 deg, rel. 48
20.87 deg, rel. 27
30.31 deg, rel. 57
30.88 deg, rel. 59
34.86 deg, rel. 48
35.28 deg, rel. 100
35.54 deg, rel. 81
36.28 deg, rel. 28
43.52 deg, rel. 32
61.82 deg, rel. 48
63.06 deg, rel. 42


[3]
Computed powder diffractogram of Mg14VCrO16 for Cu Kα (weighted mean of Kα1 and Kα2), from a DFT-relaxed cell (GGA+U, the Materials Project).

Crystal structure
```
Mg14VCrO16
1.0
4.2748 0.0000 0.0000
0.0000 8.4876 0.0000
0.0000 0.0000 8.6786
Mg V Cr O
14 1 1 16
direct
0.0000 0.0000 0.0000 Mg
0.0000 0.0000 0.5000 Mg
0.0000 0.2502 0.2485 Mg
0.0000 0.2502 0.7515 Mg
0.0000 0.7498 0.2485 Mg
0.0000 0.7498 0.7515 Mg
0.5000 0.0000 0.2495 Mg
0.5000 0.0000 0.7505 Mg
0.5000 0.2492 0.0000 Mg
0.5000 0.2490 0.5000 Mg
0.5000 0.5000 0.2480 Mg
0.5000 0.5000 0.7520 Mg
0.5000 0.7508 0.0000 Mg
0.5000 0.7510 0.5000 Mg
0.0000 0.5000 0.0000 V
0.0000 0.5000 0.5000 Cr
0.0000 0.0000 0.2515 O
0.0000 0.0000 0.7485 O
0.0000 0.2428 0.0000 O
0.0000 0.2491 0.5000 O
0.0000 0.5000 0.2437 O
0.0000 0.5000 0.7563 O
0.0000 0.7509 0.5000 O
0.0000 0.7572 0.0000 O
0.5000 0.0000 0.0000 O
0.5000 0.0000 0.5000 O
0.5000 0.2502 0.2505 O
0.5000 0.2502 0.7495 O
0.5000 0.5000 0.0000 O
0.5000 0.5000 0.5000 O
0.5000 0.7498 0.2505 O
0.5000 0.7498 0.7495 O
```

Principal peaks in the range 5 to 70 degrees two-theta, low angle first:
10.42 deg, rel. 16
20.47 deg, rel. 4
23.02 deg, rel. 5
23.30 deg, rel. 5
31.20 deg, rel. 5
36.31 deg, rel. 46
41.63 deg, rel. 100
42.28 deg, rel. 95
42.61 deg, rel. 93
60.84 deg, rel. 55
61.09 deg, rel. 54
61.59 deg, rel. 53


[4]
Computed powder diffractogram of MgCr2W2O8 for Cu Kα (weighted mean of Kα1 and Kα2), from a DFT-relaxed cell (GGA+U, the Materials Project).

Crystal structure
```
MgCr2W2O8
1.0
4.8809 0.0000 0.0000
0.1357 5.7503 0.0000
0.1784 2.5069 5.2801
Mg Cr W O
1 2 2 8
direct
0.0000 0.0000 0.0000 Mg
0.4988 0.7500 0.2485 Cr
0.5012 0.2500 0.7515 Cr
0.0041 0.7245 0.7259 W
0.9959 0.2755 0.2741 W
0.1690 0.0928 0.6377 O
0.1737 0.6312 0.1009 O
0.3196 0.1125 0.1109 O
0.3223 0.6000 0.5950 O
0.6777 0.4000 0.4050 O
0.6804 0.8875 0.8891 O
0.8263 0.3688 0.8991 O
0.8310 0.9072 0.3623 O
```

Principal peaks in the range 5 to 70 degrees two-theta, low angle first:
18.16 deg, rel. 100
25.35 deg, rel. 77
26.19 deg, rel. 70
28.82 deg, rel. 22
33.96 deg, rel. 31
34.19 deg, rel. 35
34.39 deg, rel. 34
34.53 deg, rel. 28
36.70 deg, rel. 20
36.85 deg, rel. 26
51.09 deg, rel. 24
52.07 deg, rel. 17


[5]
Computed powder diffractogram of MgCrWO6 for Cu Kα (weighted mean of Kα1 and Kα2), from a DFT-relaxed cell (GGA+U, the Materials Project).

Crystal structure
```
MgCrWO6
1.0
5.1337 0.0000 0.0000
-2.5099 4.4857 0.0000
-2.5320 -1.4892 4.5367
Mg Cr W O
1 1 1 6
direct
0.0000 0.0000 0.0000 Mg
0.4304 0.7066 0.1336 Cr
0.4295 0.2163 0.6340 W
0.2774 0.3253 0.8609 O
0.2990 0.4290 0.3515 O
0.4656 0.0298 0.3389 O
0.5344 0.9566 0.8584 O
0.8984 0.8611 0.3502 O
0.8996 0.5721 0.8583 O
```

Principal peaks in the range 5 to 70 degrees two-theta, low angle first:
19.57 deg, rel. 32
20.84 deg, rel. 46
20.98 deg, rel. 93
23.66 deg, rel. 100
23.77 deg, rel. 100
24.07 deg, rel. 97
33.03 deg, rel. 86
33.24 deg, rel. 43
34.52 deg, rel. 34
34.94 deg, rel. 64
53.81 deg, rel. 29
62.12 deg, rel. 24


[6]
Computed powder diffractogram of MgCr2W2O8 for Cu Kα (weighted mean of Kα1 and Kα2), from a DFT-relaxed cell (GGA+U, the Materials Project).

Crystal structure
```
MgCr2W2O8
1.0
4.7675 -3.0834 0.0000
4.7675 3.0834 0.0000
-0.1027 0.0000 5.0143
Mg Cr W O
1 2 2 8
direct
0.0000 0.0000 0.0000 Mg
0.2736 0.2736 0.9943 Cr
0.7264 0.7264 0.0057 Cr
0.2517 0.7483 0.5000 W
0.7483 0.2517 0.5000 W
0.1019 0.6301 0.1632 O
0.1170 0.1170 0.3241 O
0.3699 0.8981 0.8368 O
0.3878 0.3878 0.6692 O
0.6122 0.6122 0.3308 O
0.6301 0.1019 0.1632 O
0.8830 0.8830 0.6759 O
0.8981 0.3699 0.8368 O
```

Principal peaks in the range 5 to 70 degrees two-theta, low angle first:
17.69 deg, rel. 56
18.62 deg, rel. 84
25.52 deg, rel. 100
26.06 deg, rel. 98
34.14 deg, rel. 88
34.65 deg, rel. 82
35.82 deg, rel. 38
38.97 deg, rel. 52
50.38 deg, rel. 30
50.99 deg, rel. 31
51.50 deg, rel. 41
52.09 deg, rel. 40